No. 1
Diffraction record for UPaCu2O8. The XRD peak list is simulated, not measured: it uses a structure optimized by DFT (PBE) and Cu Kα.

a b c (Å): 6.771 6.771 6.912
angles (deg): 90.00 90.00 90.00
Space group I-4m2 (No. 119)
Unique sites:
U 0.000 0.000 0.000 x2
Pa 0.000 0.500 0.250 x2
Cu 0.000 0.000 0.500 x2
Cu 0.000 0.500 0.750 x2
O 0.000 0.186 0.298 x8
O 0.000 0.303 0.950 x8

Most intense lines, 10 to 90 degrees two-theta, most intense first:
d/Å	I/Imax
2.802	100
3.386	100
1.820	72
4.837	66
2.394	26
1.449	20
2.774	20
1.539	19
1.514	16
1.693	16
1.240	16
1.139	14

No. 2
Diffraction record for PaZn4Cu3O12. The XRD peak list is simulated, not measured: it uses a structure optimized by DFT (PBE) and Cu Kα.

a b c (Å): 7.471 7.471 7.471
angles (deg): 90.00 90.00 90.00
Space group Im-3 (No. 204)
Unique sites:
Pa 0.000 0.000 0.000 x2
Zn 0.250 0.250 0.250 x8
Cu 0.000 0.000 0.500 x6
O 0.000 0.158 0.302 x24

Most intense lines, 10 to 90 degrees two-theta, most intense first:
d/Å	I/Imax
2.641	100
1.525	47
5.283	31
1.868	23
1.181	17
1.997	15
2.363	14
1.321	12
3.050	10
1.465	6
3.735	5
1.761	5

No. 3
Diffraction record for ZrPaCu2O8. The XRD peak list is simulated, not measured: it uses a structure optimized by DFT (PBE) and Cu Kα.

a b c (Å): 6.903 6.903 6.545
angles (deg): 90.00 90.00 90.00
Space group I-4m2 (No. 119)
Unique sites:
Zr 0.000 0.000 0.000 x2
Pa 0.000 0.500 0.250 x2
Cu 0.000 0.000 0.500 x2
Cu 0.000 0.500 0.750 x2
O 0.000 0.176 0.286 x8
O 0.000 0.315 0.956 x8

Most intense lines, 10 to 90 degrees two-theta, most intense first:
d/Å	I/Imax
3.452	100
2.718	76
1.816	65
4.750	49
2.441	24
1.457	20
1.479	15
2.792	15
4.881	15
1.726	15
1.544	14
2.171	13

No. 4
Diffraction record for Cu3PbO3. The XRD peak list is simulated, not measured: it uses a structure optimized by DFT (PBE) and Cu Kα.

a b c (Å): 5.8945 5.8945 19.7076
angles (deg): 90.00 90.00 120.00
Space group R-3 (No. 148, hexagonal axes)
Unique sites:
Cu 0.0022 0.3198 0.1090 x18
Pb 0.0000 0.0000 0.3318 x6
O 0.0018 0.3424 0.9005 x18

Most intense lines, 10 to 90 degrees two-theta, most intense first:
d/Å	I/Imax
2.689	100
2.193	89
1.344	39
1.702	31
4.942	24
4.533	24
1.438	14
3.545	14
3.120	13
1.435	13
6.569	13
1.098	12

No. 5
Diffraction record for CuPb4O5. The XRD peak list is simulated, not measured: it uses a structure optimized by DFT (PBE) and Cu Kα.

a b c (Å): 9.588 9.588 3.824
angles (deg): 90.00 90.00 90.00
Space group I4/m (No. 87)
Unique sites:
Cu 0.000 0.000 0.000 x2
Pb 0.088 0.736 0.500 x8
O 0.000 0.000 0.500 x2
O 0.157 0.176 0.000 x8

Most intense lines, 10 to 90 degrees two-theta, most intense first:
d/Å	I/Imax
2.854	100
3.032	70
1.714	31
1.617	23
2.144	21
1.987	18
3.552	14
2.183	13
1.136	12
1.912	12
1.614	12
1.427	11

No. 6
Diffraction record for Cu2PdPb3O6. The XRD peak list is simulated, not measured: it uses a structure optimized by DFT (PBE) and Cu Kα.

a b c (Å): 5.8832 5.8832 5.8738
angles (deg): 90.00 90.00 120.00
Space group P-3m1 (No. 164)
Unique sites:
Cu 0.3333 0.6667 0.1088 x2
Pd 0.0000 0.0000 0.5000 x1
Pb 0.0000 0.0000 0.0000 x1
Pb 0.3333 0.6667 0.6198 x2
O 0.1751 0.3502 0.3117 x6

Most intense lines, 10 to 90 degrees two-theta, most intense first:
d/Å	I/Imax
2.941	100
2.544	53
1.924	32
3.849	28
1.610	27
1.471	21
1.273	20
1.698	20
2.078	16
2.337	16
1.168	12
1.829	11

No. 7
Diffraction record for CuPtPb2O4. The XRD peak list is simulated, not measured: it uses a structure optimized by DFT (PBE) and Cu Kα.

a b c (Å): 5.937 11.482 19.723
angles (deg): 90.00 90.00 90.00
Space group Fddd (No. 70, origin choice 2)
Unique sites:
Cu 0.125 0.125 0.125 x8
Pt 0.125 0.125 0.625 x8
Pb 0.125 0.125 0.447 x16
O 0.111 0.260 0.367 x32

Most intense lines, 10 to 90 degrees two-theta, most intense first:
d/Å	I/Imax
2.853	100
2.637	87
5.095	85
3.159	57
1.748	55
4.114	46
2.870	45
2.203	39
2.493	36
3.175	30
4.931	28
1.608	22

No. 8
Diffraction record for Cu2PtPb3O6. The XRD peak list is simulated, not measured: it uses a structure optimized by DFT (PBE) and Cu Kα.

a b c (Å): 5.8622 5.8622 5.9045
angles (deg): 90.00 90.00 120.00
Space group P-3m1 (No. 164)
Unique sites:
Cu 0.3333 0.6667 0.1012 x2
Pt 0.0000 0.0000 0.5000 x1
Pb 0.0000 0.0000 0.0000 x1
Pb 0.3333 0.6667 0.6233 x2
O 0.1747 0.3494 0.3189 x6

Most intense lines, 10 to 90 degrees two-theta, most intense first:
d/Å	I/Imax
2.931	100
2.552	55
1.925	32
1.609	28
1.692	20
2.080	20
1.466	16
3.850	14
1.170	13
1.271	13
1.417	12
1.108	11

No. 9
Diffraction record for CuPbSO6. The XRD peak list is simulated, not measured: it uses a structure optimized by DFT (PBE) and Cu Kα.

a b c (Å): 4.719 5.459 10.105
angles (deg): 90.00 101.45 90.00
Space group P2_1/m (No. 11)
Unique sites:
Cu 0.000 0.000 0.000 x2
Pb 0.025 0.250 0.668 x2
S 0.453 0.250 0.349 x2
O 0.154 0.250 0.914 x2
O 0.191 0.750 0.939 x2
O 0.221 0.750 0.627 x2
O 0.345 0.026 0.269 x4
O 0.363 0.250 0.480 x2

Most intense lines, 10 to 90 degrees two-theta, most intense first:
d/Å	I/Imax
4.625	100
3.301	92
3.176	88
3.105	70
4.781	70
3.496	68
2.101	50
2.466	38
2.688	35
2.631	33
3.668	30
2.341	28

No. 10
Diffraction record for CuPb4S2O14. The XRD peak list is simulated, not measured: it uses a structure optimized by DFT (PBE) and Cu Kα.

a b c (Å): 5.103 8.114 8.675
angles (deg): 114.44 96.15 100.23
Space group P-1 (No. 2)
Unique sites:
Cu 0.000 0.000 0.000 x1
Pb 0.306 0.288 0.440 x2
Pb 0.402 0.699 0.918 x2
S 0.179 0.793 0.329 x2
O 0.036 0.323 0.824 x2
O 0.083 0.838 0.496 x2
O 0.182 0.232 0.173 x2
O 0.303 0.965 0.909 x2
O 0.307 0.973 0.324 x2
O 0.312 0.572 0.610 x2
O 0.404 0.693 0.325 x2

Most intense lines, 10 to 90 degrees two-theta, most intense first:
d/Å	I/Imax
3.392	100
4.143	64
2.784	57
3.581	51
2.863	50
7.029	48
2.911	36
3.868	33
2.389	29
4.919	28
1.922	20
2.281	19

No. 11
Diffraction record for CuPbSO6. The XRD peak list is simulated, not measured: it uses a structure optimized by DFT (PBE) and Cu Kα.

a b c (Å): 4.933 6.878 8.182
angles (deg): 90.00 107.50 90.00
Space group P2_1/m (No. 11)
Unique sites:
Cu 0.000 0.000 0.000 x2
Pb 0.306 0.250 0.638 x2
S 0.404 0.750 0.684 x2
O 0.115 0.250 0.919 x2
O 0.186 0.750 0.084 x2
O 0.230 0.750 0.495 x2
O 0.292 0.250 0.312 x2
O 0.336 0.575 0.770 x4

Most intense lines, 10 to 90 degrees two-theta, most intense first:
d/Å	I/Imax
3.580	100
3.883	42
3.147	32
2.465	31
2.093	29
5.160	26
3.439	21
1.941	20
2.776	18
2.480	17
1.949	16
3.394	16